# 1
The following is a theoretical PXRD pattern of Np2H2I7. It was derived from a cell relaxed with PBE, using Cu Kα (λ = 1.5418 Å).

Structure:
a = 7.8489 Å, b = 7.8489 Å, c = 7.7492 Å
α = 108.96°, β = 108.96°, γ = 87.97°
Element x y z (fractional)
Np (0.2148, 0.2148, 0.4973)
Np (0.7852, 0.7852, 0.5027)
H (0.2547, 0.7453, 0.0000)
H (0.7453, 0.2547, 0.0000)
I (0.0793, 0.5804, 0.7739)
I (0.0889, 0.0889, 0.7878)
I (0.4196, 0.9207, 0.2261)
I (0.5000, 0.5000, 0.5000)
I (0.5804, 0.0793, 0.7739)
I (0.9111, 0.9111, 0.2122)
I (0.9207, 0.4196, 0.2261)

Most intense lines, 5 to 70 degrees two-theta, in order of rising 2θ:
d 6.915, 12.80 deg, I 76
d 5.393, 16.44 deg, I 52
d 5.039, 17.60 deg, I 38
d 4.281, 20.75 deg, I 96
d 3.088, 28.91 deg, I 92
d 2.920, 30.62 deg, I 71
d 2.889, 30.96 deg, I 100
d 2.810, 31.84 deg, I 58
d 2.725, 32.86 deg, I 76
d 1.956, 46.41 deg, I 41

---

# 2
The following is a theoretical PXRD pattern of H2PtPbI6O19. It was derived from a cell relaxed with PBE, using Cu Kα (λ = 1.5418 Å).

Structure:
a = 7.6709 Å, b = 7.7018 Å, c = 7.7624 Å
α = 98.25°, β = 95.45°, γ = 97.20°
Element x y z (fractional)
H (0.0000, 0.0000, 0.0000)
H (0.1554, 0.9681, 0.8805)
Pt (0.4094, 0.2390, 0.2903)
Pb (0.8722, 0.6816, 0.7493)
I (0.0679, 0.4584, 0.1434)
I (0.2609, 0.8925, 0.5096)
I (0.2696, 0.4188, 0.6849)
I (0.5853, 0.6371, 0.1477)
I (0.6269, 0.0897, 0.9416)
I (0.8090, 0.1097, 0.4639)
O (0.0225, 0.8345, 0.4960)
O (0.0279, 0.4466, 0.9059)
O (0.0633, 0.9078, 0.9413)
O (0.2118, 0.6439, 0.6944)
O (0.2187, 0.0724, 0.3688)
O (0.2304, 0.2904, 0.1029)
O (0.2313, 0.6564, 0.2035)
O (0.3054, 0.0399, 0.7223)
O (0.3441, 0.4383, 0.4585)
O (0.4754, 0.0424, 0.1173)
O (0.4844, 0.4586, 0.8156)
O (0.5768, 0.1744, 0.4799)
O (0.5991, 0.4029, 0.2055)
O (0.6176, 0.8522, 0.8785)
O (0.6297, 0.7668, 0.3658)
O (0.8093, 0.6405, 0.0824)
O (0.8160, 0.0625, 0.6871)
O (0.8377, 0.1380, 0.0859)
O (0.9358, 0.3313, 0.4978)

Most intense lines, 5 to 70 degrees two-theta, in order of rising 2θ:
d 5.086, 17.44 deg, I 43
d 4.994, 17.76 deg, I 75
d 3.583, 24.85 deg, I 36
d 3.369, 26.45 deg, I 32
d 3.337, 26.71 deg, I 33
d 3.291, 27.09 deg, I 29
d 3.242, 27.51 deg, I 31
d 3.204, 27.84 deg, I 100
d 3.164, 28.20 deg, I 29
d 3.137, 28.45 deg, I 36

---

# 3
The following is a theoretical PXRD pattern of PmH2IO2. It was derived from a cell relaxed with PBE, using Cu Kα (λ = 1.5418 Å).

Structure:
a = 7.5415 Å, b = 4.2022 Å, c = 7.9398 Å
α = 90.00°, β = 115.18°, γ = 90.00°
Element x y z (fractional)
Pm (0.2031, 0.2500, 0.0600)
Pm (0.7969, 0.7500, 0.9400)
H (0.2899, 0.0648, 0.4664)
H (0.2899, 0.4352, 0.4664)
H (0.7101, 0.5648, 0.5336)
H (0.7101, 0.9352, 0.5336)
I (0.2914, 0.7500, 0.7598)
I (0.7086, 0.2500, 0.2402)
O (0.1200, 0.7500, 0.1115)
O (0.3081, 0.2500, 0.4001)
O (0.6919, 0.7500, 0.5999)
O (0.8800, 0.2500, 0.8885)

Most intense lines, 5 to 70 degrees two-theta, in order of rising 2θ:
d 7.185, 12.32 deg, I 100
d 3.945, 22.54 deg, I 25
d 3.627, 24.54 deg, I 68
d 3.533, 25.21 deg, I 32
d 3.412, 26.11 deg, I 55
d 2.876, 31.09 deg, I 50
d 2.804, 31.91 deg, I 62
d 2.638, 33.99 deg, I 38
d 2.292, 39.30 deg, I 37
d 2.101, 43.05 deg, I 22

---

# 4
The following is a theoretical PXRD pattern of PuHIO2. It was derived from a cell relaxed with PBE, using Cu Kα (λ = 1.5418 Å).

Structure:
a = 6.3877 Å, b = 3.6053 Å, c = 9.6012 Å
α = 90.00°, β = 100.25°, γ = 90.00°
Element x y z (fractional)
Pu (0.2033, 0.2500, 0.4379)
Pu (0.7967, 0.7500, 0.5621)
H (0.3839, 0.7500, 0.6707)
H (0.6161, 0.2500, 0.3293)
I (0.2975, 0.7500, 0.1588)
I (0.7025, 0.2500, 0.8412)
O (0.0099, 0.2500, 0.6031)
O (0.3946, 0.7500, 0.5700)
O (0.6054, 0.2500, 0.4300)
O (0.9901, 0.7500, 0.3969)

Most intense lines, 5 to 70 degrees two-theta, in order of rising 2θ:
d 9.448, 9.36 deg, I 100
d 4.850, 18.29 deg, I 51
d 3.150, 28.33 deg, I 14
d 3.143, 28.40 deg, I 20
d 3.048, 29.30 deg, I 56
d 2.893, 30.90 deg, I 21
d 2.865, 31.22 deg, I 44
d 2.371, 37.95 deg, I 24
d 2.012, 45.05 deg, I 15
d 1.832, 49.77 deg, I 13

---

# 5
The following is a theoretical PXRD pattern of ScH11I2O6. It was derived from a cell relaxed with PBE, using Cu Kα (λ = 1.5418 Å).

Structure:
a = 8.1913 Å, b = 8.5425 Å, c = 9.1031 Å
α = 75.31°, β = 64.44°, γ = 76.51°
Element x y z (fractional)
Sc (0.0444, 0.1495, 0.3285)
Sc (0.9556, 0.8505, 0.6715)
H (0.0676, 0.8186, 0.3479)
H (0.1350, 0.8309, 0.8922)
H (0.1372, 0.4494, 0.0877)
H (0.1486, 0.0063, 0.7774)
H (0.1740, 0.3074, 0.9908)
H (0.2289, 0.5533, 0.6444)
H (0.2529, 0.2774, 0.4477)
H (0.2750, 0.3903, 0.2724)
H (0.3193, 0.9320, 0.1360)
H (0.3215, 0.6941, 0.5014)
H (0.4217, 0.0230, 0.1928)
H (0.5783, 0.9770, 0.8072)
H (0.6785, 0.3059, 0.4986)
H (0.6807, 0.0680, 0.8640)
H (0.7250, 0.6097, 0.7276)
H (0.7471, 0.7226, 0.5523)
H (0.7711, 0.4467, 0.3556)
H (0.8260, 0.6926, 0.0092)
H (0.8514, 0.9937, 0.2226)
H (0.8628, 0.5506, 0.9123)
H (0.8650, 0.1691, 0.1078)
H (0.9324, 0.1814, 0.6521)
I (0.2741, 0.6765, 0.0912)
I (0.3502, 0.2407, 0.6880)
I (0.6498, 0.7593, 0.3120)
I (0.7259, 0.3235, 0.9088)
O (0.0180, 0.9018, 0.4197)
O (0.0864, 0.9089, 0.8142)
O (0.0981, 0.3442, 0.0978)
O (0.2030, 0.6657, 0.5888)
O (0.2313, 0.2886, 0.3464)
O (0.3176, 0.0391, 0.1615)
O (0.6824, 0.9609, 0.8385)
O (0.7687, 0.7114, 0.6536)
O (0.7970, 0.3343, 0.4112)
O (0.9019, 0.6558, 0.9022)
O (0.9136, 0.0911, 0.1858)
O (0.9820, 0.0982, 0.5803)

Most intense lines, 5 to 70 degrees two-theta, in order of rising 2θ:
d 5.307, 16.71 deg, I 53
d 4.349, 20.42 deg, I 100
d 4.090, 21.73 deg, I 53
d 4.023, 22.09 deg, I 94
d 3.983, 22.32 deg, I 79
d 3.274, 27.24 deg, I 52
d 2.938, 30.43 deg, I 44
d 2.655, 33.75 deg, I 35
d 2.457, 36.58 deg, I 36
d 2.324, 38.75 deg, I 36

---

# 6
The following is a theoretical PXRD pattern of SmH4I3O11. It was derived from a cell relaxed with PBE, using Cu Kα (λ = 1.5418 Å).

Structure:
a = 7.1832 Å, b = 7.5685 Å, c = 11.0407 Å
α = 93.99°, β = 107.18°, γ = 108.29°
Element x y z (fractional)
Sm (0.0938, 0.4174, 0.2869)
Sm (0.9062, 0.5826, 0.7131)
H (0.1477, 0.2556, 0.8872)
H (0.1989, 0.0692, 0.8717)
H (0.2390, 0.1029, 0.3642)
H (0.2637, 0.0861, 0.2245)
H (0.7363, 0.9139, 0.7755)
H (0.7610, 0.8971, 0.6358)
H (0.8011, 0.9308, 0.1283)
H (0.8523, 0.7444, 0.1128)
I (0.2596, 0.7327, 0.0575)
I (0.2924, 0.3619, 0.6641)
I (0.3067, 0.8457, 0.5638)
I (0.6933, 0.1543, 0.4362)
I (0.7076, 0.6381, 0.3359)
I (0.7404, 0.2673, 0.9425)
O (0.0479, 0.6247, 0.1223)
O (0.1042, 0.8404, 0.6329)
O (0.1052, 0.7982, 0.9142)
O (0.1348, 0.7248, 0.3996)
O (0.2263, 0.1602, 0.2857)
O (0.2484, 0.5529, 0.7504)
O (0.2546, 0.2067, 0.8746)
O (0.2892, 0.4676, 0.5183)
O (0.3612, 0.0886, 0.5295)
O (0.3895, 0.9633, 0.1605)
O (0.4239, 0.5660, 0.2540)
O (0.5761, 0.4340, 0.7460)
O (0.6105, 0.0367, 0.8395)
O (0.6388, 0.9114, 0.4705)
O (0.7108, 0.5324, 0.4817)
O (0.7454, 0.7933, 0.1254)
O (0.7516, 0.4471, 0.2496)
O (0.7737, 0.8398, 0.7143)
O (0.8652, 0.2752, 0.6004)
O (0.8948, 0.2018, 0.0858)
O (0.8958, 0.1596, 0.3671)
O (0.9521, 0.3753, 0.8777)

Most intense lines, 5 to 70 degrees two-theta, in order of rising 2θ:
d 10.378, 8.52 deg, I 60
d 7.070, 12.52 deg, I 49
d 5.895, 15.03 deg, I 59
d 3.866, 23.01 deg, I 100
d 3.504, 25.42 deg, I 47
d 3.485, 25.56 deg, I 47
d 3.265, 27.32 deg, I 47
d 3.213, 27.76 deg, I 35
d 3.200, 27.88 deg, I 36
d 2.402, 37.44 deg, I 42

---

# 7
The following is a theoretical PXRD pattern of SnHI2O. It was derived from a cell relaxed with PBE, using Cu Kα (λ = 1.5418 Å).

Structure:
a = 6.0400 Å, b = 6.0400 Å, c = 3.9633 Å
α = 90.00°, β = 90.00°, γ = 90.00°
Element x y z (fractional)
Sn (0.0000, 0.0000, 0.0000)
H (0.5000, 0.5000, 0.5000)
I (0.0000, 0.5000, 0.0000)
I (0.5000, 0.0000, 0.0000)
O (0.0000, 0.0000, 0.5000)

Most intense lines, 5 to 70 degrees two-theta, in order of rising 2θ:
d 6.040, 14.67 deg, I 65
d 4.271, 20.80 deg, I 20
d 3.963, 22.43 deg, I 81
d 3.020, 29.58 deg, I 100
d 2.905, 30.78 deg, I 26
d 2.402, 37.44 deg, I 87
d 2.135, 42.32 deg, I 37
d 1.880, 48.41 deg, I 49
d 1.657, 55.46 deg, I 33
d 1.453, 64.11 deg, I 21

---

# 8
The following is a theoretical PXRD pattern of SrH2I2O7. It was derived from a cell relaxed with PBE, using Cu Kα (λ = 1.5418 Å).

Structure:
a = 7.6333 Å, b = 7.6333 Å, c = 8.9628 Å
α = 122.64°, β = 122.64°, γ = 62.43°
Element x y z (fractional)
Sr (0.1711, 0.8289, 0.7500)
Sr (0.8289, 0.1711, 0.2500)
H (0.1951, 0.7551, 0.3118)
H (0.2449, 0.8049, 0.1882)
H (0.7551, 0.1951, 0.8118)
H (0.8049, 0.2449, 0.6882)
I (0.2978, 0.3356, 0.8298)
I (0.3356, 0.2978, 0.3298)
I (0.6644, 0.7022, 0.6702)
I (0.7022, 0.6644, 0.1702)
O (0.0714, 0.2430, 0.1816)
O (0.1470, 0.8530, 0.2500)
O (0.2430, 0.0714, 0.6816)
O (0.2544, 0.4045, 0.6436)
O (0.2582, 0.5952, 0.4344)
O (0.4045, 0.2544, 0.1436)
O (0.4048, 0.7418, 0.0656)
O (0.5952, 0.2582, 0.9344)
O (0.5955, 0.7456, 0.8564)
O (0.7418, 0.4048, 0.5656)
O (0.7456, 0.5955, 0.3564)
O (0.7570, 0.9286, 0.3184)
O (0.8530, 0.1470, 0.7500)
O (0.9286, 0.7570, 0.8184)

Most intense lines, 5 to 70 degrees two-theta, in order of rising 2θ:
d 4.470, 19.86 deg, I 52
d 3.954, 22.49 deg, I 59
d 3.711, 23.98 deg, I 54
d 3.478, 25.61 deg, I 51
d 3.239, 27.54 deg, I 43
d 3.118, 28.63 deg, I 75
d 3.107, 28.74 deg, I 100
d 2.962, 30.17 deg, I 82
d 2.235, 40.36 deg, I 37
d 1.918, 47.41 deg, I 35

---

# 9
The following is a theoretical PXRD pattern of SbHOsI2. It was derived from a cell relaxed with PBE, using Cu Kα (λ = 1.5418 Å).

Structure:
a = 5.6956 Å, b = 5.6956 Å, c = 4.9921 Å
α = 90.00°, β = 90.00°, γ = 90.00°
Element x y z (fractional)
Sb (0.0000, 0.0000, 0.0000)
H (0.5000, 0.5000, 0.0000)
Os (0.0000, 0.0000, 0.5000)
I (0.0000, 0.5000, 0.5000)
I (0.5000, 0.0000, 0.5000)

Most intense lines, 5 to 70 degrees two-theta, in order of rising 2θ:
d 5.696, 15.56 deg, I 100
d 4.992, 17.77 deg, I 39
d 2.848, 31.41 deg, I 62
d 2.547, 35.24 deg, I 27
d 2.496, 35.98 deg, I 22
d 2.474, 36.32 deg, I 26
d 2.286, 39.41 deg, I 20
d 2.014, 45.02 deg, I 23
d 1.877, 48.50 deg, I 37
d 1.567, 58.93 deg, I 20